[1]
For MgFeCuS2, a structure optimized by DFT (PBE) gives the calculated powder diffractogram in this record (CuKα).
Neutral-atom scattering factors, no anomalous dispersion.

```
MgFeCuS2
1.0
2.9409 -1.6980 0.0000
2.9409 1.6980 0.0000
-1.9538 0.0000 7.7773
Mg Fe Cu S
1 1 1 2
Direct
0.0000 0.0000 0.0000
0.5326 0.5326 0.5949
0.4172 0.4172 0.2533
0.2573 0.2573 0.7694
0.8194 0.8194 0.4550
```

Peak list (12 most intense, 2θ from 10° to 90°, by angle)
11.38 deg, rel. 81
30.64 deg, rel. 53
31.37 deg, rel. 56
34.14 deg, rel. 24
36.10 deg, rel. 32
40.92 deg, rel. 100
43.71 deg, rel. 39
49.89 deg, rel. 32
53.25 deg, rel. 23
54.00 deg, rel. 66
69.92 deg, rel. 18
76.60 deg, rel. 20



[2]
For CeUSi4, a structure optimized by DFT (PBE) gives the calculated powder diffractogram in this record (CuKα).
Neutral-atom scattering factors, no anomalous dispersion.

```
CeUSi4
1.0
-1.9966 1.9966 7.0957
1.9966 -1.9966 7.0957
1.9966 1.9966 -7.0957
Ce U Si
1 1 4
Direct
0.0000 0.0000 0.0000
0.7500 0.2500 0.5000
0.1686 0.6686 0.5000
0.3314 0.8314 0.5000
0.4153 0.4153 0.0000
0.5847 0.5847 0.0000
```

Peak list (12 most intense, 2θ from 10° to 90°, by angle)
23.14 deg, rel. 55
25.10 deg, rel. 29
29.27 deg, rel. 58
34.18 deg, rel. 100
38.93 deg, rel. 43
45.43 deg, rel. 29
50.49 deg, rel. 21
51.57 deg, rel. 19
52.60 deg, rel. 16
54.96 deg, rel. 21
61.33 deg, rel. 23
76.64 deg, rel. 20



[3]
For BaAuO2, a structure optimized by DFT (PBE) gives the calculated powder diffractogram in this record (CuKα).
Neutral-atom scattering factors, no anomalous dispersion.

```
BaAuO2
1.0
3.7265 -5.1693 0.0000
3.7265 5.1693 0.0000
-0.0182 0.0000 3.9325
Ba Au O
2 2 4
Direct
0.0000 0.5000 0.0000
0.5000 0.0000 0.0000
0.0000 0.0000 0.5000
0.5000 0.5000 0.5000
0.1989 0.8011 0.5000
0.2532 0.2532 0.7282
0.7468 0.7468 0.2718
0.8011 0.1989 0.5000
```

Peak list (12 most intense, 2θ from 10° to 90°, by angle)
28.52 deg, rel. 100
29.55 deg, rel. 80
33.04 deg, rel. 40
33.20 deg, rel. 40
34.71 deg, rel. 37
46.17 deg, rel. 15
48.67 deg, rel. 25
48.82 deg, rel. 40
55.67 deg, rel. 17
55.88 deg, rel. 17
58.48 deg, rel. 15
59.05 deg, rel. 27



[4]
For Na4EuGe2Se6, a structure optimized by DFT (PBE) gives the calculated powder diffractogram in this record (CuKα).
Neutral-atom scattering factors, no anomalous dispersion.

```
Na4EuGe2Se6
1.0
3.6102 -6.2329 0.0000
3.6102 6.2329 0.0000
-2.4094 0.0000 7.7139
Na Eu Ge Se
4 1 2 6
Direct
0.0000 0.0000 0.0000
0.3463 0.6537 0.0000
0.6731 0.3269 0.0000
0.8392 0.1608 0.5000
0.5072 0.4928 0.5000
0.1218 0.7755 0.3414
0.2245 0.8782 0.6586
0.0929 0.4278 0.2503
0.2571 0.2278 0.7493
0.4066 0.0622 0.2503
0.5722 0.9071 0.7497
0.7722 0.7429 0.2507
0.9378 0.5934 0.7497
```

Peak list (12 most intense, 2θ from 10° to 90°, by angle)
11.47 deg, rel. 17
14.69 deg, rel. 11
23.06 deg, rel. 9
25.00 deg, rel. 15
29.19 deg, rel. 100
39.96 deg, rel. 27
43.45 deg, rel. 29
43.56 deg, rel. 14
53.28 deg, rel. 11
66.05 deg, rel. 12
70.10 deg, rel. 9
71.03 deg, rel. 9



- Which formula does entry 3 have?
  BaAuO2